The following is a simulated X-ray powder pattern of K2LiAlH6. It was derived from a crystal structure in the Materials Project, relaxed with PBE, using Cu Kα X-rays.

Most intense lines, 2θ = 10–90°, by angle:
2θ (°)  I/Imax  h k l
24.49  55  0 1 5
29.32  56  1 0 7
31.86  100  1 1 0
32.00  25  0 1 8
37.73  13  1 0 10
40.59  16  2 0 5
43.84  21  0 2 7
55.21  15  2 1 7
56.80  25  3 0 0
66.58  11  2 2 0

Atomic structure:
Cell lengths 5.6180, 5.6180, 27.3485 Å; angles 90.00, 90.00, 120.00 degrees
Space group R-3m (No. 166, hexagonal axes)
Symmetry-distinct sites (fractional):
K: 0.0000 0.0000 0.1271
K: 0.0000 0.0000 0.2866
Li: 0.0000 0.0000 0.4077
Al: 0.0000 0.0000 0.0000
Al: 0.0000 0.0000 0.5000
H: 0.0315 0.5157 0.7039
H: 0.0455 0.5227 0.1274